Diffraction record for AcCeMgSn. The X-ray diffraction stick pattern is computed, not measured: it uses a GGA-PBE-relaxed structure and copper Kα.

Cell and atoms:
Cell: 5.6188 5.6188 5.6188 Å, 60.00 60.00 60.00°
Positions (direct):
Ac: 0.0000 0.0000 0.0000
Ce: 0.5000 0.5000 0.5000
Mg: 0.2500 0.2500 0.2500
Sn: 0.7500 0.7500 0.7500

Top 12 peaks for 2θ = 10–90°, in order of rising 2θ:
| d_spacing | I/Imax |
| --- | --- |
| 4.588 | 13 |
| 3.973 | 21 |
| 2.809 | 100 |
| 2.396 | 8 |
| 2.294 | 7 |
| 1.987 | 19 |
| 1.777 | 9 |
| 1.622 | 40 |
| 1.405 | 12 |
| 1.324 | 4 |
| 1.256 | 17 |
| 1.147 | 4 |

---

Diffraction record for Sr2MnZn. The X-ray diffraction stick pattern is computed, not measured: it uses a GGA-PBE-relaxed structure and copper Kα.

Cell and atoms:
Cell: 4.4656 6.3406 6.3406 Å, 44.91 90.00 90.00°
Positions (direct):
Sr: 0.0000 0.0000 0.0000
Sr: 0.5000 0.2887 0.2887
Mn: 0.5000 0.5939 0.5939
Zn: 0.0000 0.7032 0.7032

Top 12 peaks for 2θ = 10–90°, in order of rising 2θ:
| d_spacing | I/Imax |
| --- | --- |
| 3.552 | 16 |
| 3.161 | 100 |
| 3.041 | 69 |
| 2.513 | 53 |
| 2.450 | 32 |
| 2.422 | 33 |
| 2.233 | 26 |
| 1.800 | 29 |
| 1.790 | 16 |
| 1.722 | 21 |
| 1.642 | 19 |
| 1.439 | 16 |